Computed powder diffractogram
Compound: Sm4Fe3CoAs4O4
Radiation: λ = 1.5418 Å (Cu Kα)
Structure: a cell relaxed with PBE+U
No peak broadening, texture or thermal motion is included.

Atomic structure:
Cell: 5.6658 5.6658 9.1530 Å, 90.00 90.00 90.00°
Positions (direct):
Sm 0.2503 0.2503 0.3740
Sm 0.2503 0.7497 0.6260
Sm 0.7497 0.2503 0.6260
Sm 0.7497 0.7497 0.3740
Fe 0.0000 0.0000 0.0000
Fe 0.0000 0.5000 0.0000
Fe 0.5000 0.0000 0.0000
Co 0.5000 0.5000 0.0000
As 0.2553 0.2553 0.8217
As 0.2553 0.7447 0.1783
As 0.7447 0.2553 0.1783
As 0.7447 0.7447 0.8217
O 0.0000 0.0000 0.5000
O 0.0000 0.5000 0.5000
O 0.5000 0.0000 0.5000
O 0.5000 0.5000 0.5000

Principal peaks in the range 10 to 80 degrees two-theta, low angle first:
2theta	I_rel	(hkl)
29.64	100	1 1 2
31.58	21	2 0 0
33.10	22	2 0 1
45.27	32	2 2 0
51.33	28	2 0 4
55.04	35	3 1 2

***

Computed powder diffractogram
Compound: Li4Co5O9F
Radiation: λ = 1.5418 Å (Cu Kα)
Structure: a cell relaxed with PBE+U
No peak broadening, texture or thermal motion is included.

Atomic structure:
Cell: 2.8544 5.0407 12.6155 Å, 79.95 84.13 73.99°
Positions (direct):
Li 0.0000 0.0000 0.0000
Li 0.1729 0.0062 0.6061
Li 0.5815 0.0128 0.8017
Li 0.7759 0.9924 0.4038
Co 0.0740 0.5085 0.3082
Co 0.2876 0.5179 0.8957
Co 0.4709 0.5045 0.5058
Co 0.7106 0.4879 0.0977
Co 0.8801 0.5101 0.7008
O 0.0949 0.6688 0.1597
O 0.0998 0.2908 0.4520
O 0.2504 0.7286 0.7512
O 0.3321 0.2954 0.0357
O 0.4130 0.7175 0.3638
O 0.5108 0.2907 0.6496
O 0.6568 0.7392 0.9455
O 0.8420 0.7220 0.5561
O 0.9170 0.3012 0.8442
F 0.7746 0.2397 0.2644

Principal peaks in the range 10 to 80 degrees two-theta, low angle first:
2theta	I_rel	(hkl)
18.53	100	0 1 0
36.22	12	0 0 5
36.61	13	1 0 -2
43.59	21	0 1 -5
44.33	21	-1 1 2
44.86	20	1 2 3